(1)
Structure and computed XRD peak list of Mg14FeC (the GGA-PBE geometry in the Materials Project; a wavelength of 1.5418 Å).

Main lines, by angle (10 to 90 degrees two-theta):
d/Å, two_theta, I (rel.), index
8.744, 10.12, 221, 1 0 0
6.060, 14.62, 80, 0 1 1
4.976, 17.83, 86, 1 1 1
2.627, 34.14, 111, 3 1 1
2.491, 36.06, 1000, 2 2 2
2.475, 36.30, 269, 0 0 4
2.381, 37.78, 193, 1 0 4
2.186, 41.30, 97, 4 0 0
2.101, 43.06, 137, 3 2 2
1.566, 59.00, 94, 0 3 5
1.441, 64.68, 65, 4 4 0
1.324, 71.20, 65, 2 5 3

Cell and atoms:
a b c (Å): 8.744 7.659 9.910
angles (deg): 90.00 90.00 90.00
Space group Amm2 (No. 38)
Unique sites:
1 Mg 0.000 0.000 0.000 x2
2 Mg 0.000 0.000 0.458 x2
3 Mg 0.000 0.203 0.730 x4
4 Mg 0.235 0.000 0.216 x4
5 Mg 0.287 0.000 0.830 x4
6 Mg 0.322 0.192 0.531 x8
7 Mg 0.500 0.200 0.284 x4
8 Fe 0.500 0.000 0.034 x2
9 C 0.500 0.000 0.452 x2

---

(2)
Structure and computed XRD peak list of OsC2 (the GGA-PBE geometry in the Materials Project; a wavelength of 1.5418 Å).

Main lines, by angle (10 to 90 degrees two-theta):
d/Å, two_theta, I (rel.), index
3.997, 22.24, 760, 0 0 2
2.492, 36.04, 114, 1 0 0
2.379, 37.81, 1000, 1 0 1
2.115, 42.76, 282, 1 0 2
1.999, 45.38, 118, 0 0 4
1.820, 50.12, 452, 1 0 3
1.559, 59.27, 113, 1 0 4
1.439, 64.80, 165, 1 1 0
1.354, 69.43, 214, 1 1 2
1.346, 69.90, 169, 1 0 5
1.231, 77.54, 127, 2 0 1
1.168, 82.63, 131, 1 1 4

Cell and atoms:
a b c (Å): 2.8776 2.8776 7.9943
angles (deg): 90.00 90.00 120.00
Space group P6_3/mmc (No. 194)
Unique sites:
1 Os 0.3333 0.6667 0.2500 x2
2 C 0.0000 0.0000 0.0894 x4

---

(3)
Structure and computed XRD peak list of LiZrO2 (the GGA-PBE geometry in the Materials Project; a wavelength of 1.5418 Å).

Main lines, by angle (10 to 90 degrees two-theta):
d/Å, two_theta, I (rel.), index
3.916, 22.71, 1000, 1 0 1
2.537, 35.38, 351, 1 1 2
2.461, 36.51, 320, 1 0 3
2.238, 40.31, 242, 0 0 4
2.177, 41.47, 446, 2 0 0
1.903, 47.80, 261, 2 1 1
1.656, 55.50, 75, 1 0 5
1.631, 56.42, 173, 2 1 3
1.560, 59.21, 281, 2 0 4
1.540, 60.10, 134, 2 2 0
1.316, 71.71, 107, 3 1 2
1.268, 74.86, 130, 2 2 4

Cell and atoms:
a b c (Å): 4.355 4.355 8.950
angles (deg): 90.00 90.00 90.00
Space group I4_1/amd (No. 141, origin choice 2)
Unique sites:
1 Li 0.000 0.250 0.375 x4
2 Zr 0.000 0.250 0.875 x4
3 O 0.000 0.250 0.131 x8

---

(4)
Structure and computed XRD peak list of GdZnPO (the GGA-PBE geometry in the Materials Project; a wavelength of 1.5418 Å).

Main lines, by angle (10 to 90 degrees two-theta):
d/Å, two_theta, I (rel.), index
3.387, 26.31, 230, 1 0 1
3.114, 28.67, 1000, 1 0 4
2.979, 30.00, 754, 0 1 5
2.690, 33.31, 318, 1 0 7
2.554, 35.13, 327, 0 0 12
2.547, 35.24, 187, 0 1 8
2.279, 39.54, 387, 1 0 10
1.968, 46.13, 736, 1 1 0
1.703, 53.82, 168, 1 1 9
1.670, 54.98, 231, 1 0 16
1.663, 55.22, 158, 0 2 4
1.559, 59.29, 462, 1 1 12

Cell and atoms:
a b c (Å): 3.9355 3.9355 30.6525
angles (deg): 90.00 90.00 120.00
Space group R-3m (No. 166, hexagonal axes)
Unique sites:
1 Gd 0.0000 0.0000 0.1196 x6
2 Zn 0.0000 0.0000 0.3037 x6
3 P 0.0000 0.0000 0.3875 x6
4 O 0.0000 0.0000 0.1947 x6

---

(5)
Structure and computed XRD peak list of Al2SiO5 (the GGA-PBE geometry in the Materials Project; a wavelength of 1.5418 Å).

Main lines, by angle (10 to 90 degrees two-theta):
d/Å, two_theta, I (rel.), index
8.010, 11.05, 546, 0 0 1
6.846, 12.93, 64, 0 1 1
4.926, 18.01, 1000, 0 1 -1
3.546, 25.11, 157, 1 1 -1
2.769, 32.33, 109, 1 2 -1
2.640, 33.96, 215, 0 2 3
2.376, 37.86, 95, 2 -1 0
2.109, 42.88, 124, 2 3 1
1.971, 46.05, 173, 2 -2 1
1.688, 54.34, 78, 2 4 0
1.543, 59.97, 80, 2 -3 2
1.454, 64.02, 65, 2 5 4

Cell and atoms:
a b c (Å): 5.333 8.570 8.628
angles (deg): 69.91 78.33 79.25
Space group P-1 (No. 2)
Unique sites:
1 Al 0.115 0.323 0.331 x2
2 Al 0.220 0.328 0.687 x2
3 Al 0.262 0.503 0.947 x2
4 Al 0.321 0.685 0.196 x2
5 Si 0.021 0.053 0.665 x2
6 Si 0.419 0.891 0.428 x2
7 O 0.004 0.150 0.799 x2
8 O 0.055 0.375 0.122 x2
9 O 0.088 0.542 0.324 x2
10 O 0.123 0.791 0.495 x2
11 O 0.200 0.067 0.319 x2
12 O 0.326 0.964 0.618 x2
13 O 0.346 0.269 0.486 x2
14 O 0.372 0.458 0.753 x2
15 O 0.400 0.650 0.998 x2
16 O 0.489 0.827 0.254 x2

---

(6)
Structure and computed XRD peak list of SrAgO2 (the GGA-PBE geometry in the Materials Project; a wavelength of 1.5418 Å).

Main lines, by angle (10 to 90 degrees two-theta):
d/Å, two_theta, I (rel.), index
2.909, 30.73, 1000, 0 2 1
2.598, 34.53, 296, 2 0 -1
2.561, 35.04, 284, 2 0 1
2.412, 37.28, 254, 0 4 0
1.824, 50.01, 191, 4 0 0
1.767, 51.72, 169, 2 4 -1
1.756, 52.09, 166, 2 4 1
1.553, 59.52, 177, 2 2 -2
1.537, 60.19, 170, 2 2 2
1.471, 63.20, 138, 0 6 1
1.455, 64.00, 169, 4 4 0
1.148, 84.33, 110, 6 0 1

Cell and atoms:
a b c (Å): 7.297 9.647 3.647
angles (deg): 90.00 90.81 90.00
Space group C2/m (No. 12)
Unique sites:
1 Sr 0.250 0.250 0.000 x4
2 Ag 0.000 0.000 0.500 x2
3 Ag 0.000 0.500 0.500 x2
4 O 0.000 0.219 0.500 x4
5 O 0.249 0.500 0.209 x4